Computed PXRD pattern
Compound: LiHoNi2O4
Radiation: Cu Kα (λ = 1.5418 Å)
Structure: the PBE+U geometry in Alexandria
Lines closer than 0.1° are merged.

Structural model:
```
LiHoNi2O4
1.0
5.2648 0.0000 0.0000
0.0000 3.1949 0.0000
-1.6870 0.0000 5.0007
Li Ho Ni O
1 1 2 4
Direct
0.0000 0.0000 0.0000
0.0000 0.5000 0.5000
0.5000 0.0000 0.5000
0.5000 0.5000 0.0000
0.2574 0.0000 0.7584
0.2743 0.5000 0.2561
0.7257 0.5000 0.7439
0.7426 0.0000 0.2416
```

Peak list (10 most intense, 2θ = 10–80°, low angle first)
(0 0 1), 2θ 17.74, intensity 79.0
(1 0 -1), 2θ 20.74, intensity 54.0
(1 1 0), 2θ 33.30, intensity 33.7
(1 1 -1), 2θ 35.04, intensity 62.7
(2 0 0), 2θ 35.96, intensity 59.0
(1 1 1), 2θ 40.73, intensity 100.0
(2 0 -2), 2θ 42.21, intensity 44.9
(2 1 0), 2θ 46.14, intensity 27.1
(1 1 -3), 2θ 60.04, intensity 29.3
(2 0 2), 2θ 60.18, intensity 43.1